1.
Structure and computed X-ray powder pattern of Er5Mn2C6 (the PBE geometry in Alexandria; Cu Ka).
Neutral-atom scattering factors, no anomalous dispersion.

Crystal structure
```
data_Er5Mn2C6
_chemical_formula_sum 'Er10 Mn4 C12'
_cell_length_a 9.596
_cell_length_b 11.414
_cell_length_c 3.363
_cell_angle_alpha 90.00
_cell_angle_beta 90.00
_cell_angle_gamma 90.00
_space_group_name_H-M_alt 'P b a m'
_space_group_IT_number 55
loop_
_space_group_symop_operation_xyz
'x,y,z'
'-x,-y,-z'
'-x,-y,z'
'x,y,-z'
'x+1/2,-y+1/2,-z'
'-x+1/2,y+1/2,z'
'-x+1/2,y+1/2,-z'
'x+1/2,-y+1/2,z'
loop_
_atom_site_label
_atom_site_type_symbol
_atom_site_fract_x
_atom_site_fract_y
_atom_site_fract_z
Er1 Er 0.000 0.000 0.000
Er2 Er 0.087 0.251 0.000
Er3 Er 0.166 0.514 0.000
Mn1 Mn 0.165 0.724 0.500
C1 C 0.012 0.622 0.500
C2 C 0.164 0.806 0.000
C3 C 0.174 0.106 0.500
```

Principal peaks in the range 10 to 90 degrees two-theta, by intensity:
| 2θ (°) | d (Å) | I_rel | (hkl) |
| --- | --- | --- | --- |
| 31.3 | 2.853 | 100 | 0 4 0 |
| 26.5 | 3.363 | 99 | 0 0 1 |
| 29.0 | 3.080 | 74 | 3 1 0 |
| 41.5 | 2.176 | 73 | 0 4 1 |
| 39.7 | 2.271 | 72 | 3 1 1 |
| 45.8 | 1.980 | 63 | 3 3 1 |
| 40.4 | 2.231 | 57 | 2 3 1 |
| 33.5 | 2.677 | 53 | 2 1 1 |
| 66.8 | 1.400 | 51 | 6 2 1 |
| 36.7 | 2.449 | 42 | 3 3 0 |

2.
Structure and computed X-ray powder pattern of HfRuPt (the PBE geometry in Alexandria; Cu Ka).
Neutral-atom scattering factors, no anomalous dispersion.

Crystal structure
```
data_HfRuPt
_chemical_formula_sum 'Hf6 Ru6 Pt6'
_cell_length_a 4.4519
_cell_length_b 4.4519
_cell_length_c 18.9837
_cell_angle_alpha 90.00
_cell_angle_beta 90.00
_cell_angle_gamma 120.00
_space_group_name_H-M_alt 'R -3 m'
_space_group_IT_number 166
_space_group_name_Hall '-R 3 2"'
loop_
_atom_site_label
_atom_site_type_symbol
_atom_site_fract_x
_atom_site_fract_y
_atom_site_fract_z
Hf1 Hf 0.0000 0.0000 0.0807
Ru1 Ru 0.0000 0.0000 0.2141
Pt1 Pt 0.0000 0.0000 0.3645
```

Principal peaks in the range 10 to 90 degrees two-theta, by intensity:
| 2θ (°) | d (Å) | I_rel | (hkl) |
| --- | --- | --- | --- |
| 40.5 | 2.226 | 100 | 1 1 0 |
| 40.7 | 2.218 | 89 | 1 0 7 |
| 29.9 | 2.992 | 40 | 1 0 4 |
| 73.8 | 1.284 | 31 | 2 1 7 |
| 58.8 | 1.571 | 30 | 0 2 7 |
| 73.7 | 1.285 | 23 | 3 0 0 |
| 14.0 | 6.328 | 21 | 0 0 3 |
| 87.7 | 1.113 | 19 | 2 2 0 |
| 74.1 | 1.279 | 11 | 0 1 14 |
| 58.6 | 1.575 | 11 | 0 1 11 |

3.
Structure and computed X-ray powder pattern of Sr2CuBi2O6 (the PBE geometry in Alexandria; Cu Ka).
Neutral-atom scattering factors, no anomalous dispersion.

Crystal structure
```
data_Sr2CuBi2O6
_chemical_formula_sum 'Sr8 Cu4 Bi8 O24'
_cell_length_a 5.523
_cell_length_b 25.453
_cell_length_c 5.130
_cell_angle_alpha 90.00
_cell_angle_beta 90.00
_cell_angle_gamma 90.00
_space_group_name_H-M_alt 'C c c m'
_space_group_IT_number 66
_space_group_name_Hall '-C 2 2c'
loop_
_atom_site_label
_atom_site_type_symbol
_atom_site_fract_x
_atom_site_fract_y
_atom_site_fract_z
Sr1 Sr 0.247 0.179 0.000
Cu1 Cu 0.250 0.250 0.500
Bi1 Bi 0.228 0.436 0.500
O1 O 0.000 0.251 0.250
O2 O 0.163 0.434 0.000
O3 O 0.231 0.145 0.500
```

Principal peaks in the range 10 to 90 degrees two-theta, by intensity:
| 2θ (°) | d (Å) | I_rel | (hkl) |
| --- | --- | --- | --- |
| 29.5 | 3.024 | 100 | 1 5 1 |
| 25.9 | 3.437 | 67 | 1 3 1 |
| 32.4 | 2.761 | 36 | 2 0 0 |
| 35.0 | 2.565 | 33 | 0 0 2 |
| 28.0 | 3.182 | 28 | 0 8 0 |
| 48.4 | 1.879 | 28 | 2 0 2 |
| 46.1 | 1.970 | 23 | 1 11 1 |
| 43.4 | 2.085 | 20 | 2 8 0 |
| 45.4 | 1.997 | 20 | 0 8 2 |
| 56.1 | 1.640 | 19 | 3 5 1 |

4.
Structure and computed X-ray powder pattern of Ho3Zn2Pd6 (the PBE geometry in Alexandria; Cu Ka).
Neutral-atom scattering factors, no anomalous dispersion.

Crystal structure
```
data_Ho3Zn2Pd6
_chemical_formula_sum 'Ho12 Zn8 Pd24'
_cell_length_a 9.472
_cell_length_b 9.472
_cell_length_c 9.472
_cell_angle_alpha 90.00
_cell_angle_beta 90.00
_cell_angle_gamma 90.00
_space_group_name_H-M_alt 'I m -3 m'
_space_group_IT_number 229
_space_group_name_Hall '-I 4 2 3'
loop_
_atom_site_label
_atom_site_type_symbol
_atom_site_fract_x
_atom_site_fract_y
_atom_site_fract_z
Ho1 Ho 0.000 0.000 0.301
Zn1 Zn 0.250 0.250 0.250
Pd1 Pd 0.000 0.335 0.335
```

Principal peaks in the range 10 to 90 degrees two-theta, by intensity:
| 2θ (°) | d (Å) | I_rel | (hkl) |
| --- | --- | --- | --- |
| 40.4 | 2.233 | 100 | 3 3 0 |
| 73.5 | 1.289 | 30 | 6 3 3 |
| 29.8 | 2.995 | 22 | 3 1 0 |
| 35.5 | 2.532 | 21 | 3 2 1 |
| 13.2 | 6.698 | 15 | 1 1 0 |
| 32.8 | 2.734 | 14 | 2 2 2 |
| 38.0 | 2.368 | 13 | 4 0 0 |
| 60.2 | 1.537 | 13 | 5 3 2 |
| 58.5 | 1.579 | 11 | 6 0 0 |
| 87.4 | 1.116 | 11 | 6 6 0 |

5.
Structure and computed X-ray powder pattern of AcAg6Pd6 (the PBE geometry in Alexandria; Cu Ka).
Neutral-atom scattering factors, no anomalous dispersion.

Crystal structure
```
data_AcAg6Pd6
_chemical_formula_sum 'Ac2 Ag12 Pd12'
_cell_length_a 5.448
_cell_length_b 9.391
_cell_length_c 9.422
_cell_angle_alpha 90.00
_cell_angle_beta 90.00
_cell_angle_gamma 90.00
_space_group_name_H-M_alt 'I m m m'
_space_group_IT_number 71
_space_group_name_Hall '-I 2 2'
loop_
_atom_site_label
_atom_site_type_symbol
_atom_site_fract_x
_atom_site_fract_y
_atom_site_fract_z
Ac1 Ac 0.000 0.000 0.000
Ag1 Ag 0.000 0.000 0.354
Ag2 Ag 0.000 0.350 0.000
Ag3 Ag 0.000 0.500 0.282
Pd1 Pd 0.000 0.282 0.500
Pd2 Pd 0.250 0.250 0.250
```

Principal peaks in the range 10 to 90 degrees two-theta, by intensity:
| 2θ (°) | d (Å) | I_rel | (hkl) |
| --- | --- | --- | --- |
| 38.2 | 2.356 | 100 | 0 0 4 |
| 38.3 | 2.350 | 54 | 0 4 0 |
| 42.9 | 2.107 | 39 | 2 2 2 |
| 32.9 | 2.722 | 29 | 2 0 0 |
| 62.3 | 1.490 | 19 | 3 3 2 |
| 69.2 | 1.357 | 16 | 2 6 0 |
| 33.0 | 2.714 | 16 | 1 3 0 |
| 69.0 | 1.361 | 15 | 4 0 0 |
| 26.8 | 3.329 | 13 | 1 1 2 |
| 43.0 | 2.101 | 10 | 0 4 2 |

6.
Structure and computed X-ray powder pattern of BaCa2Au9 (the PBE geometry in Alexandria; Cu Ka).
Neutral-atom scattering factors, no anomalous dispersion.

Crystal structure
```
data_BaCa2Au9
_chemical_formula_sum 'Ba3 Ca6 Au27'
_cell_length_a 5.7546
_cell_length_b 5.7546
_cell_length_c 28.0859
_cell_angle_alpha 90.00
_cell_angle_beta 90.00
_cell_angle_gamma 120.00
_space_group_name_H-M_alt 'R -3 m'
_space_group_IT_number 166
_space_group_name_Hall '-R 3 2"'
loop_
_atom_site_label
_atom_site_type_symbol
_atom_site_fract_x
_atom_site_fract_y
_atom_site_fract_z
Ba1 Ba 0.0000 0.0000 0.0000
Ca1 Ca 0.0000 0.0000 0.1447
Au1 Au 0.0000 0.0000 0.3329
Au2 Au 0.0000 0.0000 0.5000
Au3 Au 0.0041 0.5021 0.9136
```

Principal peaks in the range 10 to 90 degrees two-theta, by intensity:
| 2θ (°) | d (Å) | I_rel | (hkl) |
| --- | --- | --- | --- |
| 36.7 | 2.452 | 100 | 1 1 6 |
| 39.6 | 2.277 | 60 | 2 0 5 |
| 18.1 | 4.907 | 50 | 1 0 1 |
| 38.5 | 2.340 | 32 | 0 0 12 |
| 42.7 | 2.117 | 28 | 0 2 7 |
| 77.9 | 1.226 | 27 | 2 2 12 |
| 64.8 | 1.439 | 24 | 2 2 0 |
| 59.0 | 1.566 | 22 | 0 3 6 |
| 36.2 | 2.482 | 21 | 0 2 1 |
| 31.1 | 2.874 | 14 | 1 1 0 |